MnInOsO6: simulated powder X-ray diffraction pattern (Cu Kα X-rays), based on a PBE+U-relaxed structure.
Peak positions follow from Bragg's law for the DFT cell and can differ from measured ones.

Largest 8 diffraction maxima, in order of falling intensity, 2θ from 5° to 70°:
| d (Å) | intensity |
| --- | --- |
| 3.224 | 100 |
| 2.676 | 68 |
| 1.720 | 61 |
| 2.299 | 60 |
| 4.488 | 54 |
| 4.635 | 28 |
| 2.059 | 28 |
| 1.632 | 26 |

Atomic structure:
```
MnInOsO6
1.0
5.353 0.000 0.000
-2.676 4.635 0.000
0.000 0.000 8.976
Mn In Os O
2 2 2 12
Direct
0.000 0.000 0.000 Mn
0.000 0.000 0.500 Mn
0.333 0.667 0.250 In
0.667 0.333 0.750 In
0.333 0.667 0.750 Os
0.667 0.333 0.250 Os
0.039 0.370 0.630 O
0.039 0.668 0.870 O
0.332 0.370 0.870 O
0.332 0.961 0.630 O
0.370 0.039 0.130 O
0.370 0.332 0.370 O
0.630 0.668 0.630 O
0.630 0.961 0.870 O
0.668 0.039 0.370 O
0.668 0.630 0.130 O
0.961 0.332 0.130 O
0.961 0.630 0.370 O
```